[1]
This entry pairs a crystal structure of Mg3Zr6Cd with its computed PXRD pattern. Radiation: Cu Kα X-rays. Structure: DFT lattice parameters and positions (PBE).
Kinematic intensities with the Lorentz-polarization factor, no thermal factor.

Atomic structure:
Cell lengths 3.1083, 11.6748, 13.1982 Å; angles 106.98, 95.83, 92.21 degrees
Space group P-1 (No. 2)
Inequivalent atoms, fractional coordinates:
Mg (0.0751, 0.3217, 0.2149)
Mg (0.2434, 0.9237, 0.7870)
Mg (0.2647, 0.2266, 0.6300)
Zr (0.2176, 0.0224, 0.4064)
Zr (0.2270, 0.8332, 0.1725)
Zr (0.2822, 0.1164, 0.0111)
Zr (0.2962, 0.4775, 0.5972)
Zr (0.3081, 0.7274, 0.5664)
Zr (0.4640, 0.3674, 0.0056)
Cd (0.0938, 0.5712, 0.1902)

Top 10 peaks for 2θ from 15° to 90°, in order of rising 2θ:
hkl, d/Å, Rel. int.
0 3 -4, 2.848, 23.7
1 -1 2, 2.691, 31.1
1 0 2, 2.646, 42.1
0 4 1, 2.561, 100.0
0 0 5, 2.507, 70.2
-1 1 3, 2.494, 66.8
0 4 -4, 2.480, 69.2
1 3 -2, 2.372, 72.6
1 -4 1, 2.168, 24.0
1 3 -7, 1.645, 24.5

---

[2]
This entry pairs a crystal structure of MgZr2Cd2 with its computed PXRD pattern. Radiation: Cu Kα X-rays. Structure: DFT lattice parameters and positions (PBE).
Kinematic intensities with the Lorentz-polarization factor, no thermal factor.

Atomic structure:
Cell lengths 4.1960, 5.4321, 5.5918 Å; angles 80.16, 68.03, 67.52 degrees
Space group P-1 (No. 2)
Inequivalent atoms, fractional coordinates:
Mg (0.0000, 0.0000, 0.0000)
Zr (0.3943, 0.7908, 0.4245)
Cd (0.2132, 0.3907, 0.1826)

Top 10 peaks for 2θ from 15° to 90°, in order of rising 2θ:
hkl, d/Å, Rel. int.
0 1 0, 5.017, 14.9
0 1 1, 3.664, 12.9
1 0 -1, 2.594, 100.0
1 0 2, 2.562, 14.3
1 -1 1, 2.525, 47.3
1 2 0, 2.516, 47.0
0 2 1, 2.287, 34.9
0 1 -2, 2.273, 32.8
2 1 1, 2.098, 27.6
2 3 2, 1.542, 28.2

---

[3]
This entry pairs a crystal structure of Mg2ZrCd2 with its computed PXRD pattern. Radiation: Cu Kα X-rays. Structure: DFT lattice parameters and positions (PBE).
Kinematic intensities with the Lorentz-polarization factor, no thermal factor.

Atomic structure:
Cell lengths 3.1362, 22.4243, 3.1929 Å; angles 90.00, 90.00, 90.00 degrees
Space group Cmmm (No. 65)
Inequivalent atoms, fractional coordinates:
Mg (0.0000, 0.1904, 0.0000)
Zr (0.0000, 0.0000, 0.0000)
Cd (0.0000, 0.4029, 0.5000)

Top 10 peaks for 2θ from 15° to 90°, in order of rising 2θ:
hkl, d/Å, Rel. int.
0 4 0, 5.606, 15.1
0 4 1, 2.774, 66.9
1 5 0, 2.570, 100.0
0 6 1, 2.428, 64.9
0 10 0, 2.242, 45.0
1 1 1, 2.226, 85.8
1 9 1, 1.665, 22.1
1 11 1, 1.507, 31.3
1 5 2, 1.356, 25.1
2 6 1, 1.317, 17.4

---

[4]
This entry pairs a crystal structure of MnCd2 with its computed PXRD pattern. Radiation: Cu Kα X-rays. Structure: DFT lattice parameters and positions (PBE).
Kinematic intensities with the Lorentz-polarization factor, no thermal factor.

Atomic structure:
Cell lengths 4.7893, 4.7893, 2.9354 Å; angles 90.00, 90.00, 120.00 degrees
Space group P6/mmm (No. 191)
Inequivalent atoms, fractional coordinates:
Mn (0.0000, 0.0000, 0.0000)
Cd (0.3333, 0.6667, 0.5000)

Top 10 peaks for 2θ from 15° to 90°, in order of rising 2θ:
hkl, d/Å, Rel. int.
1 0 0, 4.148, 10.0
0 0 1, 2.935, 12.6
1 1 0, 2.395, 100.0
1 1 1, 1.856, 19.7
2 0 1, 1.694, 13.6
0 0 2, 1.468, 3.9
3 0 0, 1.383, 23.6
1 1 2, 1.251, 18.6
2 2 0, 1.197, 6.4
2 2 1, 1.109, 3.8

---

[5]
This entry pairs a crystal structure of Mn3Cd5 with its computed PXRD pattern. Radiation: Cu Kα X-rays. Structure: DFT lattice parameters and positions (PBE).
Kinematic intensities with the Lorentz-polarization factor, no thermal factor.

Atomic structure:
Cell lengths 8.2083, 8.5493, 4.2466 Å; angles 90.00, 90.00, 90.00 degrees
Space group Cmmm (No. 65)
Inequivalent atoms, fractional coordinates:
Mn (0.0000, 0.0000, 0.0000)
Mn (0.0000, 0.2474, 0.5000)
Cd (0.0000, 0.5000, 0.0000)
Cd (0.2364, 0.0000, 0.5000)
Cd (0.2500, 0.2500, 0.0000)

Top 10 peaks for 2θ from 15° to 90°, in order of rising 2θ:
hkl, d/Å, Rel. int.
2 2 1, 2.429, 100.0
0 4 0, 2.137, 17.1
0 0 2, 2.123, 16.8
4 0 0, 2.052, 14.5
0 4 2, 1.506, 11.5
4 4 0, 1.480, 9.6
2 6 1, 1.283, 11.9
2 2 3, 1.277, 11.7
6 2 1, 1.246, 10.0
4 4 2, 1.214, 9.7

---

[6]
This entry pairs a crystal structure of MnCd2 with its computed PXRD pattern. Radiation: Cu Kα X-rays. Structure: DFT lattice parameters and positions (PBE).
Kinematic intensities with the Lorentz-polarization factor, no thermal factor.

Atomic structure:
Cell lengths 3.0460, 3.0460, 12.3348 Å; angles 90.00, 90.00, 90.00 degrees
Space group I4/mmm (No. 139)
Inequivalent atoms, fractional coordinates:
Mn (0.0000, 0.0000, 0.0000)
Cd (0.0000, 0.0000, 0.3434)

Top 10 peaks for 2θ from 15° to 90°, in order of rising 2θ:
hkl, d/Å, Rel. int.
0 0 4, 3.084, 6.5
1 0 1, 2.957, 10.7
1 0 3, 2.448, 100.0
1 1 0, 2.154, 35.0
0 0 6, 2.056, 13.4
2 0 0, 1.523, 11.0
1 1 6, 1.487, 17.9
2 1 3, 1.293, 24.0
1 0 9, 1.250, 8.4
2 0 6, 1.224, 9.2

---

[7]
This entry pairs a crystal structure of MnCd4 with its computed PXRD pattern. Radiation: Cu Kα X-rays. Structure: DFT lattice parameters and positions (PBE).
Kinematic intensities with the Lorentz-polarization factor, no thermal factor.

Atomic structure:
Cell lengths 6.7952, 6.7952, 4.4117 Å; angles 90.00, 90.00, 90.00 degrees
Space group I4/m (No. 87)
Inequivalent atoms, fractional coordinates:
Mn (0.0000, 0.0000, 0.0000)
Cd (0.1031, 0.2953, 0.5000)

Top 10 peaks for 2θ from 15° to 90°, in order of rising 2θ:
hkl, d/Å, Rel. int.
1 0 1, 3.700, 4.0
2 0 0, 3.398, 2.3
2 1 1, 2.503, 100.0
0 0 2, 2.206, 17.0
1 3 0, 2.149, 31.9
1 3 2, 1.539, 21.0
4 2 0, 1.519, 9.8
2 1 3, 1.324, 12.3
5 0 1, 1.299, 22.6
4 2 2, 1.251, 10.0

---

[8]
This entry pairs a crystal structure of Mn4Cd5 with its computed PXRD pattern. Radiation: Cu Kα X-rays. Structure: DFT lattice parameters and positions (PBE).
Kinematic intensities with the Lorentz-polarization factor, no thermal factor.

Atomic structure:
Cell lengths 8.8039, 8.8039, 4.2201 Å; angles 90.00, 90.00, 90.00 degrees
Space group I4/mmm (No. 139)
Inequivalent atoms, fractional coordinates:
Mn (0.0000, 0.3484, 0.0000)
Cd (0.0000, 0.0000, 0.0000)
Cd (0.1712, 0.1712, 0.5000)

Top 10 peaks for 2θ from 15° to 90°, in order of rising 2θ:
hkl, d/Å, Rel. int.
2 2 0, 3.113, 5.2
2 1 1, 2.879, 9.2
3 0 1, 2.409, 100.0
0 0 2, 2.110, 17.9
3 3 0, 2.075, 31.1
3 3 2, 1.480, 19.7
6 0 0, 1.467, 9.3
3 0 3, 1.269, 11.7
6 3 1, 1.253, 21.1
6 0 2, 1.205, 9.5